Starting from the GGA+U geometry in Alexandria, the powder diffractogram of Ni2Hg2SbO6 was calculated for Cu Ka.
Intensities are scaled so that the largest is 100.

The 10 most intense peaks (2θ from 10° to 90°), in order of rising 2θ:
Position (°2θ)	I/Imax
19.4	33
21.0	53
24.5	88
29.8	84
34.2	100
34.9	77
37.7	41
41.7	100
50.0	45
60.6	28

Cell and atoms:
```
Ni2Hg2SbO6
1.0
2.7301 -4.5779 0.0000
2.7301 4.5779 0.0000
-2.1425 0.0000 5.9975
Ni Hg Sb O
2 2 1 6
Direct
0.1659 0.8341 0.0000
0.8341 0.1659 0.0000
0.1869 0.8131 0.5000
0.8131 0.1869 0.5000
0.5000 0.5000 0.0000
0.1122 0.1122 0.8102
0.2386 0.5644 0.1722
0.4356 0.7614 0.8278
0.5644 0.2386 0.1722
0.7614 0.4356 0.8278
0.8878 0.8878 0.1898
```